Starting from a DFT-relaxed cell (GGA-PBE, the Materials Project), the powder XRD pattern of NdIn2Ni was computed for Cu Kα, 1.54184 Å.

The 10 most intense peaks (15 to 90 degrees two-theta), by angle:
Position (°2θ), d [Å], Rel. int.
31.77, 2.816, 20
32.23, 2.778, 100
33.88, 2.646, 21
34.65, 2.589, 12
35.55, 2.525, 29
35.63, 2.520, 24
39.12, 2.302, 11
40.59, 2.223, 11
40.78, 2.213, 37
65.73, 1.421, 12

Cell lengths 9.5178, 9.5178, 21.8574 Å; angles 90.00, 90.00, 153.11 degrees
Fractional positions:
1 Nd 0.0307 0.9693 0.7500
2 Nd 0.0625 0.9375 0.5800
3 Nd 0.0625 0.9375 0.9200
4 Nd 0.2715 0.7285 0.6280
5 Nd 0.2715 0.7285 0.8720
6 Nd 0.7285 0.2715 0.1280
7 Nd 0.7285 0.2715 0.3720
8 Nd 0.9375 0.0625 0.0800
9 Nd 0.9375 0.0625 0.4200
10 Nd 0.9693 0.0307 0.2500
11 In 0.0992 0.9008 0.1437
12 In 0.0992 0.9008 0.3563
13 In 0.2247 0.7753 0.2500
14 In 0.3001 0.6999 0.0336
15 In 0.3001 0.6999 0.4664
16 In 0.3637 0.6363 0.1750
17 In 0.3637 0.6363 0.3250
18 In 0.3908 0.6092 0.7500
19 In 0.4332 0.5668 0.5429
20 In 0.4332 0.5668 0.9571
21 In 0.5668 0.4332 0.0429
22 In 0.5668 0.4332 0.4571
23 In 0.6092 0.3908 0.2500
24 In 0.6363 0.3637 0.6750
25 In 0.6363 0.3637 0.8250
26 In 0.6999 0.3001 0.5336
27 In 0.6999 0.3001 0.9664
28 In 0.7753 0.2247 0.7500
29 In 0.9008 0.0992 0.6437
30 In 0.9008 0.0992 0.8563
31 Ni 0.1557 0.8443 0.0320
32 Ni 0.1557 0.8443 0.4680
33 Ni 0.1836 0.8164 0.7500
34 Ni 0.4859 0.5141 0.6580
35 Ni 0.4859 0.5141 0.8420
36 Ni 0.5141 0.4859 0.1580
37 Ni 0.5141 0.4859 0.3420
38 Ni 0.8164 0.1836 0.2500
39 Ni 0.8443 0.1557 0.5320
40 Ni 0.8443 0.1557 0.9680